Starting from the GGA-PBE geometry in Alexandria, the powder XRD pattern of Ce4ZnRh4 was computed for a wavelength of 1.5418 Å.

Top 6 peaks for 10° ≤ 2θ ≤ 80°, by angle:
two_theta  d (Å)  I (rel.)  (hkl)
32.26  2.775  100.0  1 3 0
33.61  2.666  44.1  0 0 2
46.28  1.962  29.1  4 2 0
47.28  1.922  68.2  1 3 2
58.40  1.580  28.8  4 2 2
79.82  1.202  14.8  1 3 4

a b c (Å): 8.774 8.774 5.332
angles (deg): 90.00 90.00 90.00
Space group I4/m (No. 87)
Symmetry-distinct sites (fractional):
Ce  0.086  0.295  0.000 (multiplicity 8)
Zn  0.000  0.000  0.500 (multiplicity 2)
Rh  0.090  0.270  0.500 (multiplicity 8)

Starting from the GGA-PBE geometry in Alexandria, the powder XRD pattern of PmZnSn2Rh2 was computed for a wavelength of 1.5418 Å.

Top 6 peaks for 10° ≤ 2θ ≤ 80°, by angle:
two_theta  d (Å)  I (rel.)  (hkl)
26.89  3.315  31.1  1 1 0
30.97  2.888  63.6  1 1 1
36.06  2.490  100.0  1 0 2
38.40  2.344  89.9  2 0 0
53.70  1.707  64.3  2 1 2
55.43  1.658  30.9  2 2 0

a b c (Å): 4.688 4.688 5.879
angles (deg): 90.00 90.00 90.00
Space group P4/mmm (No. 123)
Symmetry-distinct sites (fractional):
Pm  0.000  0.000  0.000 (multiplicity 1)
Zn  0.000  0.000  0.500 (multiplicity 1)
Sn  0.500  0.500  0.242 (multiplicity 2)
Rh  0.000  0.500  0.500 (multiplicity 2)

Question: What is the formula in the first record?
Answer: Ce4ZnRh4

Please write out number 2 again, unchanged.
Starting from the GGA-PBE geometry in Alexandria, the powder XRD pattern of PmZnSn2Rh2 was computed for a wavelength of 1.5418 Å.

Top 6 peaks for 10° ≤ 2θ ≤ 80°, by angle:
two_theta  d (Å)  I (rel.)  (hkl)
26.89  3.315  31.1  1 1 0
30.97  2.888  63.6  1 1 1
36.06  2.490  100.0  1 0 2
38.40  2.344  89.9  2 0 0
53.70  1.707  64.3  2 1 2
55.43  1.658  30.9  2 2 0

a b c (Å): 4.688 4.688 5.879
angles (deg): 90.00 90.00 90.00
Space group P4/mmm (No. 123)
Symmetry-distinct sites (fractional):
Pm  0.000  0.000  0.000 (multiplicity 1)
Zn  0.000  0.000  0.500 (multiplicity 1)
Sn  0.500  0.500  0.242 (multiplicity 2)
Rh  0.000  0.500  0.500 (multiplicity 2)